The following is a theoretical XRD peak list of PrPd5. It was derived from a crystal structure in OQMD, relaxed with GGA-PBE, using Cu Kα, 1.54184 Å.
Neutral-atom scattering factors, no anomalous dispersion.

Peak list (8 most intense, 2θ = 15–90°, in order of falling intensity)
| 2θ (°) | d/Å | I (rel.) |
| --- | --- | --- |
| 40.39 | 2.233 | 1000 |
| 36.65 | 2.452 | 381 |
| 38.42 | 2.343 | 331 |
| 76.65 | 1.243 | 253 |
| 63.42 | 1.467 | 224 |
| 46.05 | 1.971 | 198 |
| 70.81 | 1.331 | 185 |
| 77.93 | 1.226 | 140 |

Cell and atoms:
```
PrPd5
1.0
5.0806 0.0000 0.0000
-2.5403 4.3999 0.0000
0.0000 0.0000 9.3724
Pr Pd
2 10
direct
0.3333 0.6667 0.2500
0.6667 0.3333 0.7500
0.0000 0.0000 0.2500
0.0000 0.0000 0.7500
0.0000 0.3226 0.5000
0.0000 0.6774 0.0000
0.3226 0.0000 0.5000
0.3226 0.3226 0.0000
0.3333 0.6667 0.7500
0.6667 0.3333 0.2500
0.6774 0.0000 0.0000
0.6774 0.6774 0.5000
```



The following is a theoretical XRD peak list of PrSiPd3. It was derived from a crystal structure in OQMD, relaxed with GGA-PBE, using Cu Kα, 1.54184 Å.
Neutral-atom scattering factors, no anomalous dispersion.

Peak list (8 most intense, 2θ = 15–90°, in order of falling intensity)
| 2θ (°) | d/Å | I (rel.) |
| --- | --- | --- |
| 34.75 | 2.582 | 1000 |
| 43.59 | 2.076 | 371 |
| 39.73 | 2.269 | 230 |
| 74.32 | 1.276 | 212 |
| 33.07 | 2.709 | 154 |
| 55.78 | 1.648 | 136 |
| 60.44 | 1.532 | 132 |
| 27.05 | 3.296 | 130 |

Cell and atoms:
```
PrSiPd3
1.0
4.1527 0.0000 0.0000
0.0000 4.1527 0.0000
0.0000 0.0000 5.4178
Pr Si Pd
1 1 3
direct
0.0000 0.0000 0.0000
0.5000 0.5000 0.7287
0.0000 0.5000 0.5048
0.5000 0.0000 0.5048
0.5000 0.5000 0.1615
```



The following is a theoretical XRD peak list of Pr3Zn2Si4Pd2. It was derived from a crystal structure in OQMD, relaxed with GGA-PBE, using Cu Kα, 1.54184 Å.
Neutral-atom scattering factors, no anomalous dispersion.

Peak list (8 most intense, 2θ = 15–90°, in order of falling intensity)
| 2θ (°) | d/Å | I (rel.) |
| --- | --- | --- |
| 33.31 | 2.690 | 1000 |
| 33.02 | 2.713 | 293 |
| 42.33 | 2.135 | 194 |
| 43.16 | 2.096 | 184 |
| 23.84 | 3.732 | 177 |
| 55.40 | 1.659 | 132 |
| 62.05 | 1.496 | 123 |
| 46.02 | 1.972 | 120 |

Cell and atoms:
```
Pr3Zn2Si4Pd2
1.0
-2.0959 2.1351 12.2927
2.0959 -2.1351 12.2927
2.0959 2.1351 -12.2927
Pr Zn Si Pd
3 2 4 2
direct
0.0000 0.0000 0.0000
0.1476 0.6476 0.5000
0.8524 0.3524 0.5000
0.4028 0.9028 0.5000
0.5972 0.0972 0.5000
0.3037 0.8037 0.5000
0.4516 0.4516 0.0000
0.5484 0.5484 0.0000
0.6963 0.1963 0.5000
0.2502 0.2502 0.0000
0.7498 0.7498 0.0000
```



The following is a theoretical XRD peak list of Pr2Sn7Pd4. It was derived from a crystal structure in OQMD, relaxed with GGA-PBE, using Cu Kα, 1.54184 Å.
Neutral-atom scattering factors, no anomalous dispersion.

Peak list (8 most intense, 2θ = 15–90°, in order of falling intensity)
| 2θ (°) | d/Å | I (rel.) |
| --- | --- | --- |
| 33.33 | 2.688 | 1000 |
| 40.81 | 2.211 | 580 |
| 54.19 | 1.693 | 269 |
| 30.50 | 2.931 | 258 |
| 28.98 | 3.081 | 203 |
| 36.94 | 2.433 | 188 |
| 35.75 | 2.512 | 188 |
| 32.88 | 2.724 | 173 |

Cell and atoms:
```
Pr2Sn7Pd4
1.0
30.4713 0.0000 0.0000
0.0000 6.3502 0.0000
0.0000 0.0000 6.1621
Pr Sn Pd
8 28 16
direct
0.0924 0.0149 0.2500
0.0924 0.4851 0.7500
0.3646 0.5240 0.2500
0.3646 0.9760 0.7500
0.6354 0.0240 0.2500
0.6354 0.4760 0.7500
0.9076 0.5149 0.2500
0.9076 0.9851 0.7500
0.0018 0.2500 0.0000
0.0018 0.2500 0.5000
0.1397 0.5207 0.2500
0.1397 0.9793 0.7500
0.2010 0.6065 0.7500
0.2010 0.8935 0.2500
0.2554 0.0992 0.7500
0.2554 0.4008 0.2500
0.3172 0.0326 0.2500
0.3172 0.4674 0.7500
0.4116 0.0332 0.2500
0.4116 0.4668 0.7500
0.4739 0.1000 0.7500
0.4739 0.4000 0.2500
0.5261 0.6000 0.7500
0.5261 0.9000 0.2500
0.5884 0.5332 0.2500
0.5884 0.9668 0.7500
0.6828 0.5326 0.2500
0.6828 0.9674 0.7500
0.7446 0.5992 0.7500
0.7446 0.9008 0.2500
0.7990 0.1065 0.7500
0.7990 0.3935 0.2500
0.8603 0.0207 0.2500
0.8603 0.4793 0.7500
0.9982 0.7500 0.0000
0.9982 0.7500 0.5000
0.0534 0.5143 0.2500
0.0534 0.9857 0.7500
0.1863 0.2500 0.0000
0.1863 0.2500 0.5000
0.2727 0.7500 0.0000
0.2727 0.7500 0.5000
0.4561 0.7500 0.0000
0.4561 0.7500 0.5000
0.5439 0.2500 0.0000
0.5439 0.2500 0.5000
0.7273 0.2500 0.0000
0.7273 0.2500 0.5000
0.8137 0.7500 0.0000
0.8137 0.7500 0.5000
0.9466 0.0143 0.2500
0.9466 0.4857 0.7500
```



The following is a theoretical XRD peak list of Rb2PdPt2S4. It was derived from a crystal structure in OQMD, relaxed with GGA-PBE, using Cu Kα, 1.54184 Å.
Neutral-atom scattering factors, no anomalous dispersion.

Peak list (8 most intense, 2θ = 15–90°, in order of falling intensity)
| 2θ (°) | d/Å | I (rel.) |
| --- | --- | --- |
| 32.00 | 2.797 | 1000 |
| 21.36 | 4.160 | 955 |
| 34.80 | 2.578 | 802 |
| 52.68 | 1.737 | 653 |
| 25.64 | 3.475 | 617 |
| 35.13 | 2.555 | 539 |
| 42.22 | 2.140 | 512 |
| 33.62 | 2.665 | 484 |

Cell and atoms:
```
Rb2PdPt2S4
1.0
0.0000 5.3307 6.6514
3.2850 0.0000 6.6514
3.2850 5.3307 0.0000
Rb Pd Pt S
2 1 2 4
direct
0.1546 0.1546 0.8454
0.8454 0.8454 0.1546
0.5000 0.5000 0.5000
0.0000 0.0000 0.5000
0.5000 0.5000 0.0000
0.2141 0.5607 0.4393
0.4393 0.7859 0.2141
0.5607 0.2141 0.7859
0.7859 0.4393 0.5607
```



The following is a theoretical XRD peak list of Rb2Tl4PdPt. It was derived from a crystal structure in OQMD, relaxed with GGA-PBE, using Cu Kα, 1.54184 Å.
Neutral-atom scattering factors, no anomalous dispersion.

Peak list (8 most intense, 2θ = 15–90°, in order of falling intensity)
| 2θ (°) | d/Å | I (rel.) |
| --- | --- | --- |
| 38.20 | 2.356 | 1000 |
| 29.70 | 3.008 | 950 |
| 36.24 | 2.479 | 847 |
| 29.22 | 3.056 | 824 |
| 39.60 | 2.276 | 563 |
| 31.11 | 2.875 | 512 |
| 30.77 | 2.905 | 455 |
| 35.95 | 2.498 | 403 |

Cell and atoms:
```
Rb2Tl4PdPt
1.0
8.4730 0.0000 0.0000
0.0000 4.5519 0.0000
0.0000 0.0000 12.3715
Rb Tl Pd Pt
4 8 2 2
direct
0.0000 0.0000 0.0000
0.0000 0.5000 0.5000
0.5000 0.0000 0.1064
0.5000 0.5000 0.6064
0.1968 0.0000 0.7117
0.1968 0.5000 0.2117
0.3034 0.0000 0.3927
0.3034 0.5000 0.8927
0.6966 0.0000 0.3927
0.6966 0.5000 0.8927
0.8032 0.0000 0.7117
0.8032 0.5000 0.2117
0.0000 0.0000 0.2729
0.0000 0.5000 0.7729
0.5000 0.0000 0.8324
0.5000 0.5000 0.3324
```



The following is a theoretical XRD peak list of Zr2Si2PdPt. It was derived from a crystal structure in OQMD, relaxed with GGA-PBE, using Cu Kα, 1.54184 Å.
Neutral-atom scattering factors, no anomalous dispersion.

Peak list (8 most intense, 2θ = 15–90°, in order of falling intensity)
| 2θ (°) | d/Å | I (rel.) |
| --- | --- | --- |
| 41.76 | 2.163 | 1000 |
| 25.22 | 3.532 | 923 |
| 49.41 | 1.844 | 447 |
| 76.25 | 1.249 | 334 |
| 66.64 | 1.403 | 181 |
| 60.54 | 1.529 | 165 |
| 81.81 | 1.177 | 137 |
| 29.20 | 3.059 | 13 |

Cell and atoms:
```
Zr2Si2PdPt
1.0
7.4925 0.0000 0.0000
0.0000 4.3254 0.0000
-2.4963 0.0000 14.1279
Zr Si Pd Pt
8 8 4 4
direct
0.0000 0.0000 0.0000
0.0018 0.5000 0.4992
0.2470 0.0000 0.7478
0.2494 0.5000 0.2487
0.4971 0.0000 0.4978
0.5000 0.5000 0.0001
0.7492 0.0000 0.2474
0.7516 0.5000 0.7481
0.1236 0.0000 0.3735
0.1248 0.5000 0.8743
0.3744 0.0000 0.1240
0.3754 0.5000 0.6237
0.6244 0.0000 0.8736
0.6254 0.5000 0.3736
0.8734 0.0000 0.6227
0.8748 0.5000 0.1238
0.0628 0.0000 0.1869
0.0626 0.5000 0.6860
0.3122 0.5000 0.4356
0.5618 0.5000 0.1871
0.3122 0.0000 0.9356
0.5615 0.0000 0.6863
0.8114 0.0000 0.4357
0.8115 0.5000 0.9357
```



The following is a theoretical XRD peak list of SmZn3PdPt. It was derived from a crystal structure in OQMD, relaxed with GGA-PBE, using Cu Kα, 1.54184 Å.
Neutral-atom scattering factors, no anomalous dispersion.

Peak list (8 most intense, 2θ = 15–90°, in order of falling intensity)
| 2θ (°) | d/Å | I (rel.) |
| --- | --- | --- |
| 39.67 | 2.272 | 1000 |
| 33.51 | 2.675 | 416 |
| 64.07 | 1.453 | 242 |
| 41.98 | 2.152 | 231 |
| 54.74 | 1.677 | 209 |
| 20.63 | 4.305 | 179 |
| 85.48 | 1.136 | 174 |
| 75.14 | 1.264 | 151 |

Cell and atoms:
```
SmZn3PdPt
1.0
5.3491 0.0000 0.0000
-2.6745 4.6324 0.0000
0.0000 0.0000 4.3047
Sm Zn Pd Pt
1 3 1 1
direct
0.0000 0.0000 0.0000
0.0002 0.5001 0.5000
0.4999 0.9998 0.5000
0.4999 0.5001 0.5000
0.6667 0.3333 0.0000
0.3333 0.6667 0.0000
```



The following is a theoretical XRD peak list of Sr6PdPt. It was derived from a crystal structure in OQMD, relaxed with GGA-PBE, using Cu Kα, 1.54184 Å.
Neutral-atom scattering factors, no anomalous dispersion.

Peak list (8 most intense, 2θ = 15–90°, in order of falling intensity)
| 2θ (°) | d/Å | I (rel.) |
| --- | --- | --- |
| 29.60 | 3.018 | 1000 |
| 34.31 | 2.614 | 596 |
| 29.36 | 3.042 | 507 |
| 27.90 | 3.198 | 345 |
| 28.23 | 3.161 | 338 |
| 41.87 | 2.157 | 304 |
| 42.83 | 2.111 | 285 |
| 31.15 | 2.871 | 257 |

Cell and atoms:
```
Sr6PdPt
1.0
10.1438 0.0000 0.0000
0.0000 4.3137 0.0000
0.0000 0.0000 13.9328
Sr Pd Pt
12 2 2
direct
0.0000 0.0000 0.0000
0.0000 0.5000 0.5000
0.1785 0.0000 0.7339
0.1785 0.5000 0.2339
0.3155 0.0000 0.4346
0.3155 0.5000 0.9346
0.5000 0.0000 0.1635
0.5000 0.5000 0.6635
0.6845 0.0000 0.4346
0.6845 0.5000 0.9346
0.8215 0.0000 0.7339
0.8215 0.5000 0.2339
0.5000 0.0000 0.8245
0.5000 0.5000 0.3245
0.0000 0.0000 0.3430
0.0000 0.5000 0.8430
```



The following is a theoretical XRD peak list of YTm2Zn3PdPt2. It was derived from a crystal structure in OQMD, relaxed with GGA-PBE, using Cu Kα, 1.54184 Å.
Neutral-atom scattering factors, no anomalous dispersion.

Peak list (8 most intense, 2θ = 15–90°, in order of falling intensity)
| 2θ (°) | d/Å | I (rel.) |
| --- | --- | --- |
| 37.03 | 2.427 | 1000 |
| 33.98 | 2.638 | 932 |
| 34.09 | 2.630 | 560 |
| 43.29 | 2.090 | 474 |
| 44.81 | 2.022 | 380 |
| 47.40 | 1.918 | 371 |
| 37.81 | 2.379 | 361 |
| 36.90 | 2.436 | 358 |

Cell and atoms:
```
YTm2Zn3PdPt2
1.0
3.8361 0.0000 0.0000
0.0000 6.3067 3.6130
0.0000 -6.3067 3.6130
Y Tm Zn Pd Pt
1 2 3 1 2
direct
0.0000 0.0000 0.0000
0.0000 0.1877 0.5920
0.0000 0.5920 0.1877
0.5000 0.3383 0.3383
0.5000 0.5923 0.8439
0.5000 0.8439 0.5923
0.0000 0.5882 0.5882
0.5000 0.2645 0.9239
0.5000 0.9239 0.2645
```



The following is a theoretical XRD peak list of Y2PdPt. It was derived from a crystal structure in OQMD, relaxed with GGA-PBE, using Cu Kα, 1.54184 Å.
Neutral-atom scattering factors, no anomalous dispersion.

Peak list (8 most intense, 2θ = 15–90°, in order of falling intensity)
| 2θ (°) | d/Å | I (rel.) |
| --- | --- | --- |
| 36.02 | 2.494 | 1000 |
| 39.98 | 2.255 | 933 |
| 32.11 | 2.788 | 690 |
| 39.47 | 2.283 | 469 |
| 34.58 | 2.594 | 355 |
| 20.31 | 4.373 | 317 |
| 53.47 | 1.714 | 202 |
| 54.69 | 1.678 | 196 |

Cell and atoms:
```
Y2PdPt
1.0
4.5662 0.0000 0.0000
0.0000 5.5801 0.0000
0.0000 0.0000 7.0392
Y Pd Pt
4 2 2
direct
0.0000 0.1037 0.0000
0.0000 0.8963 0.5000
0.5000 0.3892 0.6339
0.5000 0.6108 0.1339
0.0000 0.4042 0.3580
0.0000 0.5958 0.8580
0.5000 0.0980 0.2748
0.5000 0.9020 0.7748
```



The following is a theoretical XRD peak list of ZrZnPdPt. It was derived from a crystal structure in OQMD, relaxed with GGA-PBE, using Cu Kα, 1.54184 Å.
Neutral-atom scattering factors, no anomalous dispersion.

Peak list (8 most intense, 2θ = 15–90°, in order of falling intensity)
| 2θ (°) | d/Å | I (rel.) |
| --- | --- | --- |
| 38.61 | 2.332 | 1000 |
| 43.88 | 2.063 | 347 |
| 77.12 | 1.237 | 258 |
| 66.12 | 1.413 | 201 |
| 46.84 | 1.940 | 144 |
| 63.80 | 1.459 | 112 |
| 81.40 | 1.182 | 112 |
| 24.43 | 3.643 | 108 |

Cell and atoms:
```
ZrZnPdPt
1.0
4.1263 0.0000 0.0000
0.0000 4.1263 0.0000
0.0000 0.0000 7.7585
Zr Zn Pd Pt
2 2 2 2
direct
0.0000 0.0000 0.0000
0.5000 0.5000 0.5000
0.0000 0.0000 0.5000
0.5000 0.5000 0.0000
0.0000 0.5000 0.2500
0.5000 0.0000 0.7500
0.0000 0.5000 0.7500
0.5000 0.0000 0.2500
```



The following is a theoretical XRD peak list of Rb2Pd. It was derived from a crystal structure in OQMD, relaxed with GGA-PBE, using Cu Kα, 1.54184 Å.
Neutral-atom scattering factors, no anomalous dispersion.

Peak list (8 most intense, 2θ = 15–90°, in order of falling intensity)
| 2θ (°) | d/Å | I (rel.) |
| --- | --- | --- |
| 27.42 | 3.252 | 1000 |
| 37.54 | 2.396 | 855 |
| 35.83 | 2.506 | 725 |
| 21.72 | 4.092 | 670 |
| 17.70 | 5.012 | 643 |
| 45.71 | 1.985 | 483 |
| 42.29 | 2.137 | 340 |
| 59.40 | 1.556 | 328 |

Cell and atoms:
```
Rb2Pd
1.0
0.0000 7.0880 7.0880
7.0880 0.0000 7.0880
7.0880 7.0880 0.0000
Rb Pd
4 2
direct
0.0000 0.0000 0.0000
0.0000 0.0000 0.5000
0.0000 0.5000 0.0000
0.5000 0.0000 0.0000
0.1250 0.1250 0.1250
0.8750 0.8750 0.8750
```